For Sr3YIr8, DFT lattice parameters and positions (GGA-PBE) gives the computed XRD peak list in this record (Cu Kα, 1.54184 Å).
Neutral-atom scattering factors, no anomalous dispersion.

Cell and atoms:
Cell: 9.424 9.424 9.424 Å, 33.66 33.66 33.66°
Positions (direct):
Sr (0.000, 0.000, 0.000)
Sr (0.124, 0.124, 0.124)
Sr (0.497, 0.497, 0.497)
Y (0.624, 0.624, 0.624)
Ir (0.055, 0.561, 0.561)
Ir (0.061, 0.061, 0.567)
Ir (0.061, 0.567, 0.061)
Ir (0.311, 0.311, 0.311)
Ir (0.561, 0.055, 0.561)
Ir (0.561, 0.561, 0.055)
Ir (0.567, 0.061, 0.061)
Ir (0.811, 0.811, 0.811)

The 10 most intense peaks (2θ = 15–90°), in order of rising 2θ:
19.95 deg, rel. 58; 38.72 deg, rel. 100; 38.80 deg, rel. 33; 40.50 deg, rel. 66; 40.63 deg, rel. 22; 47.15 deg, rel. 25; 62.58 deg, rel. 33; 68.80 deg, rel. 21; 68.98 deg, rel. 21; 83.05 deg, rel. 26

For SrY2Ir, DFT lattice parameters and positions (GGA-PBE) gives the computed XRD peak list in this record (Cu Kα, 1.54184 Å).
Neutral-atom scattering factors, no anomalous dispersion.

Cell and atoms:
Cell: 12.489 3.771 5.667 Å, 90.00 116.39 90.00°
Positions (direct):
Sr (0.000, 0.000, 0.000)
Sr (0.500, 0.500, 0.000)
Y (0.196, 0.000, 0.686)
Y (0.383, 0.000, 0.387)
Y (0.696, 0.500, 0.686)
Y (0.883, 0.500, 0.387)
Ir (0.213, 0.500, 0.311)
Ir (0.713, 0.000, 0.311)

The 10 most intense peaks (2θ = 15–90°), in order of rising 2θ:
15.84 deg, rel. 40; 17.47 deg, rel. 43; 17.62 deg, rel. 40; 28.48 deg, rel. 33; 31.58 deg, rel. 48; 32.00 deg, rel. 28; 32.63 deg, rel. 88; 32.79 deg, rel. 100; 33.80 deg, rel. 36; 48.26 deg, rel. 22

For SrZnIr, DFT lattice parameters and positions (GGA-PBE) gives the computed XRD peak list in this record (Cu Kα, 1.54184 Å).
Neutral-atom scattering factors, no anomalous dispersion.

Cell and atoms:
Cell: 5.539 5.775 7.524 Å, 90.00 90.00 90.00°
Positions (direct):
Sr (0.000, 0.250, 0.134)
Sr (0.000, 0.750, 0.866)
Sr (0.500, 0.250, 0.366)
Sr (0.500, 0.750, 0.634)
Zn (0.250, 0.250, 0.750)
Zn (0.250, 0.750, 0.250)
Zn (0.750, 0.250, 0.750)
Zn (0.750, 0.750, 0.250)
Ir (0.000, 0.000, 0.500)
Ir (0.000, 0.500, 0.500)
Ir (0.500, 0.000, 0.000)
Ir (0.500, 0.500, 0.000)

The 10 most intense peaks (2θ = 15–90°), in order of rising 2θ:
19.90 deg, rel. 65; 32.32 deg, rel. 25; 32.69 deg, rel. 18; 37.09 deg, rel. 100; 37.96 deg, rel. 29; 39.34 deg, rel. 51; 39.44 deg, rel. 47; 40.44 deg, rel. 40; 60.80 deg, rel. 24; 68.50 deg, rel. 32

For Sr3Zn8Ir, DFT lattice parameters and positions (GGA-PBE) gives the computed XRD peak list in this record (Cu Kα, 1.54184 Å).
Neutral-atom scattering factors, no anomalous dispersion.

Cell and atoms:
Cell: 9.586 9.586 9.586 Å, 33.70 33.70 33.70°
Positions (direct):
Sr (0.000, 0.000, 0.000)
Sr (0.128, 0.128, 0.128)
Sr (0.513, 0.513, 0.513)
Zn (0.048, 0.566, 0.566)
Zn (0.071, 0.071, 0.568)
Zn (0.071, 0.568, 0.071)
Zn (0.315, 0.315, 0.315)
Zn (0.566, 0.048, 0.566)
Zn (0.566, 0.566, 0.048)
Zn (0.568, 0.071, 0.071)
Zn (0.815, 0.815, 0.815)
Ir (0.640, 0.640, 0.640)

The 10 most intense peaks (2θ = 15–90°), in order of rising 2θ:
32.22 deg, rel. 28; 32.32 deg, rel. 24; 38.01 deg, rel. 100; 38.11 deg, rel. 24; 39.75 deg, rel. 22; 39.92 deg, rel. 11; 57.48 deg, rel. 16; 61.35 deg, rel. 27; 67.41 deg, rel. 16; 67.64 deg, rel. 10

For SrZn7Ir5, DFT lattice parameters and positions (GGA-PBE) gives the computed XRD peak list in this record (Cu Kα, 1.54184 Å).
Neutral-atom scattering factors, no anomalous dispersion.

Cell and atoms:
Cell: 6.804 6.804 6.804 Å, 132.00 98.19 100.86°
Positions (direct):
Sr (0.000, 0.000, 0.000)
Zn (0.218, 0.501, 0.717)
Zn (0.235, 0.735, 0.500)
Zn (0.341, 0.341, 0.000)
Zn (0.348, 0.007, 0.340)
Zn (0.659, 0.659, 0.000)
Zn (0.667, 0.007, 0.660)
Zn (0.784, 0.501, 0.283)
Ir (0.008, 0.511, 0.009)
Ir (0.008, 0.999, 0.497)
Ir (0.502, 0.511, 0.503)
Ir (0.502, 0.999, 0.991)
Ir (0.761, 0.261, 0.500)

The 10 most intense peaks (2θ = 15–90°), in order of rising 2θ:
19.93 deg, rel. 28; 20.49 deg, rel. 62; 38.29 deg, rel. 59; 38.60 deg, rel. 34; 40.26 deg, rel. 24; 40.50 deg, rel. 35; 41.68 deg, rel. 35; 43.81 deg, rel. 100; 45.80 deg, rel. 31; 57.87 deg, rel. 21

For Ta3Ir5, DFT lattice parameters and positions (GGA-PBE) gives the computed XRD peak list in this record (Cu Kα, 1.54184 Å).
Neutral-atom scattering factors, no anomalous dispersion.

Cell and atoms:
Cell: 5.198 7.471 7.539 Å, 84.89 71.22 70.99°
Positions (direct):
Ta (0.000, 0.000, 0.000)
Ta (0.077, 0.762, 0.582)
Ta (0.184, 0.367, 0.326)
Ta (0.525, 0.358, 0.623)
Ta (0.665, 0.746, 0.395)
Ta (0.830, 0.663, 0.984)
Ir (0.128, 0.297, 0.953)
Ir (0.236, 0.070, 0.597)
Ir (0.250, 0.713, 0.191)
Ir (0.429, 0.720, 0.786)
Ir (0.455, 0.025, 0.177)
Ir (0.566, 0.372, 0.977)
Ir (0.653, 0.024, 0.797)
Ir (0.695, 0.429, 0.271)
Ir (0.827, 0.049, 0.389)
Ir (0.956, 0.457, 0.675)

The 10 most intense peaks (2θ = 15–90°), in order of rising 2θ:
34.53 deg, rel. 44; 36.68 deg, rel. 41; 38.23 deg, rel. 100; 38.97 deg, rel. 41; 39.72 deg, rel. 47; 40.43 deg, rel. 41; 40.57 deg, rel. 94; 40.71 deg, rel. 66; 41.66 deg, rel. 41; 42.72 deg, rel. 57

For Ta2Ir3, DFT lattice parameters and positions (GGA-PBE) gives the computed XRD peak list in this record (Cu Kα, 1.54184 Å).
Neutral-atom scattering factors, no anomalous dispersion.

Cell and atoms:
Cell: 8.926 3.937 6.237 Å, 90.00 133.54 90.00°
Positions (direct):
Ta (0.081, 0.000, 0.292)
Ta (0.419, 0.500, 0.708)
Ta (0.581, 0.500, 0.292)
Ta (0.919, 0.000, 0.708)
Ir (0.000, 0.500, 0.500)
Ir (0.197, 0.500, 0.104)
Ir (0.303, 0.000, 0.896)
Ir (0.500, 0.000, 0.500)
Ir (0.697, 0.000, 0.104)
Ir (0.803, 0.500, 0.896)

The 10 most intense peaks (2θ = 15–90°), in order of rising 2θ:
38.96 deg, rel. 98; 39.26 deg, rel. 100; 44.25 deg, rel. 35; 46.07 deg, rel. 62; 65.82 deg, rel. 22; 67.20 deg, rel. 20; 77.67 deg, rel. 12; 78.25 deg, rel. 14; 80.55 deg, rel. 12; 80.78 deg, rel. 25

For Ta3Ir8, DFT lattice parameters and positions (GGA-PBE) gives the computed XRD peak list in this record (Cu Kα, 1.54184 Å).
Neutral-atom scattering factors, no anomalous dispersion.

Cell and atoms:
Cell: 4.687 5.946 7.108 Å, 94.38 109.11 92.57°
Positions (direct):
Ta (0.000, 0.000, 0.000)
Ta (0.000, 0.000, 0.500)
Ta (0.500, 0.500, 0.000)
Ir (0.088, 0.415, 0.189)
Ir (0.283, 0.503, 0.585)
Ir (0.378, 0.831, 0.344)
Ir (0.400, 0.875, 0.825)
Ir (0.600, 0.125, 0.175)
Ir (0.622, 0.169, 0.656)
Ir (0.717, 0.497, 0.415)
Ir (0.912, 0.585, 0.811)

The 10 most intense peaks (2θ = 15–90°), in order of rising 2θ:
30.23 deg, rel. 58; 32.04 deg, rel. 48; 37.86 deg, rel. 37; 38.70 deg, rel. 61; 40.22 deg, rel. 67; 40.83 deg, rel. 100; 42.22 deg, rel. 73; 42.64 deg, rel. 59; 43.37 deg, rel. 84; 43.87 deg, rel. 39

For Ta5Ir3, DFT lattice parameters and positions (GGA-PBE) gives the computed XRD peak list in this record (Cu Kα, 1.54184 Å).
Neutral-atom scattering factors, no anomalous dispersion.

Cell and atoms:
Cell: 7.621 7.621 5.217 Å, 107.79 107.79 84.89°
Positions (direct):
Ta (0.007, 0.993, 0.750)
Ta (0.204, 0.353, 0.771)
Ta (0.205, 0.647, 0.434)
Ta (0.353, 0.204, 0.271)
Ta (0.353, 0.795, 0.066)
Ta (0.647, 0.205, 0.934)
Ta (0.647, 0.796, 0.729)
Ta (0.795, 0.353, 0.566)
Ta (0.796, 0.647, 0.229)
Ta (0.993, 0.007, 0.250)
Ir (0.002, 0.342, 0.143)
Ir (0.342, 0.002, 0.643)
Ir (0.494, 0.506, 0.250)
Ir (0.506, 0.494, 0.750)
Ir (0.658, 0.998, 0.357)
Ir (0.998, 0.658, 0.857)

The 10 most intense peaks (2θ = 15–90°), in order of rising 2θ:
34.43 deg, rel. 35; 35.26 deg, rel. 25; 38.75 deg, rel. 48; 39.20 deg, rel. 51; 39.33 deg, rel. 100; 39.67 deg, rel. 32; 39.87 deg, rel. 39; 40.30 deg, rel. 65; 41.08 deg, rel. 52; 41.91 deg, rel. 47

For Ta3VIr4, DFT lattice parameters and positions (GGA-PBE) gives the computed XRD peak list in this record (Cu Kα, 1.54184 Å).
Neutral-atom scattering factors, no anomalous dispersion.

Cell and atoms:
Cell: 4.788 2.862 9.367 Å, 90.00 102.78 90.00°
Positions (direct):
Ta (0.000, 0.000, 0.000)
Ta (0.270, 0.000, 0.741)
Ta (0.730, 0.000, 0.259)
V (0.500, 0.000, 0.500)
Ir (0.000, 0.500, 0.500)
Ir (0.239, 0.500, 0.254)
Ir (0.500, 0.500, 0.000)
Ir (0.761, 0.500, 0.746)

The 10 most intense peaks (2θ = 15–90°), in order of rising 2θ:
39.29 deg, rel. 100; 39.46 deg, rel. 33; 44.83 deg, rel. 45; 47.50 deg, rel. 20; 67.23 deg, rel. 13; 67.50 deg, rel. 14; 78.84 deg, rel. 16; 78.94 deg, rel. 9; 79.12 deg, rel. 8; 82.81 deg, rel. 8

For Ta4Ir5W, DFT lattice parameters and positions (GGA-PBE) gives the computed XRD peak list in this record (Cu Kα, 1.54184 Å).
Neutral-atom scattering factors, no anomalous dispersion.

Cell and atoms:
Cell: 2.858 2.858 19.498 Å, 90.00 90.00 90.00°
Positions (direct):
Ta (0.000, 0.000, 0.100)
Ta (0.000, 0.000, 0.300)
Ta (0.000, 0.000, 0.700)
Ta (0.000, 0.000, 0.900)
Ir (0.500, 0.500, 0.000)
Ir (0.500, 0.500, 0.200)
Ir (0.500, 0.500, 0.404)
Ir (0.500, 0.500, 0.596)
Ir (0.500, 0.500, 0.800)
W (0.000, 0.000, 0.500)

The 8 most intense peaks (2θ = 15–90°), in order of rising 2θ:
39.07 deg, rel. 100; 44.85 deg, rel. 34; 46.58 deg, rel. 15; 65.29 deg, rel. 11; 66.65 deg, rel. 21; 78.80 deg, rel. 27; 81.31 deg, rel. 12; 83.96 deg, rel. 11

For TaIrW2, DFT lattice parameters and positions (GGA-PBE) gives the computed XRD peak list in this record (Cu Kα, 1.54184 Å).
Neutral-atom scattering factors, no anomalous dispersion.

Cell and atoms:
Cell: 3.701 4.110 8.584 Å, 90.00 90.00 90.00°
Positions (direct):
Ta (0.000, 0.000, 0.000)
Ta (0.500, 0.500, 0.000)
Ir (0.000, 0.000, 0.500)
Ir (0.500, 0.500, 0.500)
W (0.000, 0.500, 0.270)
W (0.000, 0.500, 0.730)
W (0.500, 0.000, 0.270)
W (0.500, 0.000, 0.730)

The 10 most intense peaks (2θ = 15–90°), in order of rising 2θ:
38.89 deg, rel. 100; 42.11 deg, rel. 18; 44.06 deg, rel. 18; 49.24 deg, rel. 13; 62.58 deg, rel. 11; 68.19 deg, rel. 10; 74.80 deg, rel. 12; 77.56 deg, rel. 14; 83.49 deg, rel. 10; 85.17 deg, rel. 11

For Zr2TaIr3, DFT lattice parameters and positions (GGA-PBE) gives the computed XRD peak list in this record (Cu Kα, 1.54184 Å).
Neutral-atom scattering factors, no anomalous dispersion.

Cell and atoms:
Cell: 7.713 7.713 7.713 Å, 146.79 122.80 67.77°
Positions (direct):
Zr (0.272, 0.022, 0.250)
Zr (0.429, 0.679, 0.750)
Zr (0.571, 0.321, 0.250)
Zr (0.728, 0.978, 0.750)
Ta (0.093, 0.343, 0.750)
Ta (0.907, 0.657, 0.250)
Ir (0.000, 0.500, 0.500)
Ir (0.128, 0.168, 0.960)
Ir (0.292, 0.832, 0.460)
Ir (0.500, 0.500, 0.000)
Ir (0.708, 0.168, 0.540)
Ir (0.872, 0.832, 0.040)

The 10 most intense peaks (2θ = 15–90°), in order of rising 2θ:
38.15 deg, rel. 100; 40.94 deg, rel. 24; 42.35 deg, rel. 19; 44.46 deg, rel. 10; 49.36 deg, rel. 10; 60.37 deg, rel. 13; 66.00 deg, rel. 9; 72.71 deg, rel. 15; 74.66 deg, rel. 11; 81.62 deg, rel. 8

For Zr6TaIr5, DFT lattice parameters and positions (GGA-PBE) gives the computed XRD peak list in this record (Cu Kα, 1.54184 Å).
Neutral-atom scattering factors, no anomalous dispersion.

Cell and atoms:
Cell: 7.390 7.390 6.717 Å, 90.00 90.00 143.19°
Positions (direct):
Zr (0.000, 0.000, 0.247)
Zr (0.000, 0.000, 0.753)
Zr (0.333, 0.667, 0.249)
Zr (0.333, 0.667, 0.751)
Zr (0.667, 0.333, 0.249)
Zr (0.667, 0.333, 0.751)
Ta (0.500, 0.500, 0.500)
Ir (0.168, 0.832, 0.000)
Ir (0.168, 0.832, 0.500)
Ir (0.500, 0.500, 0.000)
Ir (0.832, 0.168, 0.000)
Ir (0.832, 0.168, 0.500)

The 10 most intense peaks (2θ = 15–90°), in order of rising 2θ:
26.54 deg, rel. 7; 27.00 deg, rel. 14; 38.22 deg, rel. 100; 38.55 deg, rel. 49; 47.42 deg, rel. 6; 54.66 deg, rel. 9; 55.66 deg, rel. 17; 68.87 deg, rel. 18; 69.53 deg, rel. 34; 81.80 deg, rel. 11